Entry 1:
Calculated X-ray powder pattern
Compound: Eu2TiO5
Radiation: copper Kα
Structure: a structure optimized by DFT (PBE)

Main lines, sorted by position (10 to 90 degrees two-theta):
| 2θ (°) | d (Å) | Rel. int. |
| --- | --- | --- |
| 11.30 | 7.829 | 12.7 |
| 24.79 | 3.591 | 12.9 |
| 28.74 | 3.106 | 100.0 |
| 29.42 | 3.036 | 11.6 |
| 33.30 | 2.691 | 28.7 |
| 34.33 | 2.612 | 14.0 |
| 41.97 | 2.153 | 8.8 |
| 47.82 | 1.902 | 34.7 |
| 54.55 | 1.682 | 12.7 |
| 56.72 | 1.623 | 15.8 |

Cell: 10.744 3.806 11.431 Å, 90.00 90.00 90.00°
Fractional positions:
Eu 0.107 0.250 0.218
Eu 0.135 0.250 0.561
Eu 0.365 0.750 0.061
Eu 0.393 0.750 0.718
Eu 0.607 0.250 0.282
Eu 0.635 0.250 0.939
Eu 0.865 0.750 0.439
Eu 0.893 0.750 0.782
Ti 0.182 0.250 0.878
Ti 0.318 0.750 0.378
Ti 0.682 0.250 0.622
Ti 0.818 0.750 0.122
O 0.006 0.750 0.603
O 0.020 0.250 0.844
O 0.229 0.250 0.041
O 0.234 0.750 0.882
O 0.235 0.750 0.230
O 0.265 0.250 0.730
O 0.266 0.250 0.382
O 0.271 0.750 0.541
O 0.480 0.750 0.344
O 0.494 0.250 0.103
O 0.506 0.750 0.897
O 0.520 0.250 0.656
O 0.729 0.250 0.459
O 0.734 0.750 0.618
O 0.735 0.750 0.270
O 0.765 0.250 0.770
O 0.766 0.250 0.118
O 0.771 0.750 0.959
O 0.980 0.750 0.156
O 0.994 0.250 0.397



Entry 2:
Calculated X-ray powder pattern
Compound: Pr4Cd2Ru
Radiation: copper Kα
Structure: a structure optimized by DFT (PBE)

Main lines, sorted by position (10 to 90 degrees two-theta):
| 2θ (°) | d (Å) | Rel. int. |
| --- | --- | --- |
| 27.58 | 3.234 | 100.0 |
| 28.52 | 3.130 | 51.2 |
| 29.47 | 3.031 | 60.3 |
| 31.13 | 2.873 | 74.2 |
| 31.66 | 2.826 | 58.4 |
| 32.82 | 2.729 | 50.1 |
| 36.85 | 2.439 | 51.0 |
| 37.45 | 2.402 | 41.6 |
| 39.54 | 2.279 | 59.3 |
| 48.71 | 1.869 | 46.5 |

Cell: 6.834 3.740 9.156 Å, 90.00 109.66 90.00°
Fractional positions:
Pr 0.103 0.000 0.237
Pr 0.328 0.500 0.638
Pr 0.672 0.500 0.362
Pr 0.897 0.000 0.763
Cd 0.288 0.500 0.001
Cd 0.712 0.500 0.999
Ru 0.000 0.000 0.500



Entry 3:
Calculated X-ray powder pattern
Compound: CaZnSnIr
Radiation: copper Kα
Structure: a structure optimized by DFT (PBE)

Main lines, sorted by position (10 to 90 degrees two-theta):
| 2θ (°) | d (Å) | Rel. int. |
| --- | --- | --- |
| 22.99 | 3.868 | 31.2 |
| 26.61 | 3.350 | 1.0 |
| 37.99 | 2.369 | 100.0 |
| 44.87 | 2.020 | 17.2 |
| 54.81 | 1.675 | 17.2 |
| 60.21 | 1.537 | 7.5 |
| 68.63 | 1.367 | 35.0 |
| 73.45 | 1.289 | 5.8 |
| 81.23 | 1.184 | 11.1 |
| 85.81 | 1.132 | 6.1 |

Cell: 6.699 6.699 6.699 Å, 90.00 90.00 90.00°
Fractional positions:
Ca 0.000 0.000 0.000
Ca 0.000 0.500 0.500
Ca 0.500 0.000 0.500
Ca 0.500 0.500 0.000
Zn 0.250 0.250 0.750
Zn 0.250 0.750 0.250
Zn 0.750 0.250 0.250
Zn 0.750 0.750 0.750
Sn 0.250 0.250 0.250
Sn 0.250 0.750 0.750
Sn 0.750 0.250 0.750
Sn 0.750 0.750 0.250
Ir 0.000 0.000 0.500
Ir 0.000 0.500 0.000
Ir 0.500 0.000 0.000
Ir 0.500 0.500 0.500



Entry 4:
Calculated X-ray powder pattern
Compound: Al8FeSi2
Radiation: copper Kα
Structure: a structure optimized by DFT (PBE)

Main lines, sorted by position (10 to 90 degrees two-theta):
| 2θ (°) | d (Å) | Rel. int. |
| --- | --- | --- |
| 14.23 | 6.225 | 18.2 |
| 25.57 | 3.483 | 12.7 |
| 29.70 | 3.008 | 12.8 |
| 40.56 | 2.224 | 100.0 |
| 45.68 | 1.986 | 18.7 |
| 45.89 | 1.977 | 14.8 |
| 49.88 | 1.828 | 13.7 |
| 69.94 | 1.345 | 9.8 |
| 80.95 | 1.188 | 13.3 |
| 87.22 | 1.118 | 9.6 |

Cell: 7.246 7.246 7.246 Å, 148.18 119.39 70.09°
Fractional positions:
Al 0.100 0.344 0.756
Al 0.174 0.174 0.000
Al 0.232 0.000 0.232
Al 0.412 0.656 0.756
Al 0.588 0.344 0.244
Al 0.768 0.000 0.768
Al 0.826 0.826 0.000
Al 0.900 0.656 0.244
Fe 0.000 0.500 0.500
Si 0.359 0.859 0.500
Si 0.641 0.141 0.500